For CsCu3PdS4, a GGA-PBE-relaxed structure gives the computed XRD peak list in this record (λ = 1.5418 Å (Cu Kα)).

Top 8 peaks for 2θ = 5–70°, low angle first:
4.276 Å, I = 65.6, hkl 1 1 0
3.491 Å, I = 59.2, hkl 1 1 1
3.023 Å, I = 46.1, hkl 2 0 0
2.469 Å, I = 29.4, hkl 2 1 1
2.138 Å, I = 100.0, hkl 2 2 0
1.823 Å, I = 24.7, hkl 3 1 1
1.616 Å, I = 19.2, hkl 3 2 1
1.352 Å, I = 19.3, hkl 4 2 0

Atomic structure:
```
data_CsCu3PdS4
_cell_length_a 6.0470
_cell_length_b 6.0470
_cell_length_c 6.0470
_cell_angle_alpha 90.00
_cell_angle_beta 90.00
_cell_angle_gamma 90.00
_symmetry_space_group_name_H-M 'P -4 3 m'
_symmetry_Int_Tables_number 215
_symmetry_space_group_name_Hall 'P -4 2 3'
loop_
_atom_site_label
_atom_site_type_symbol
_atom_site_fract_x
_atom_site_fract_y
_atom_site_fract_z
Cs1 Cs 0.0000 0.0000 0.0000
Cu1 Cu 0.0000 0.5000 0.5000
Pd1 Pd 0.5000 0.5000 0.5000
S1 S 0.2836 0.2836 0.2836
```